Theoretical PXRD pattern
Compound: RbMg14B
Radiation: Cu Kα (λ = 1.5418 Å)
Structure: a cell relaxed with GGA-PBE

Main lines, sorted by position (2θ = 10–80°):
2θ 18.05, d = 4.916 Å, I = 19; 2θ 29.82, d = 2.996 Å, I = 13; 2θ 32.34, d = 2.768 Å, I = 25; 2θ 33.51, d = 2.674 Å, I = 32; 2θ 36.56, d = 2.458 Å, I = 100; 2θ 47.28, d = 1.922 Å, I = 15; 2θ 57.69, d = 1.598 Å, I = 17; 2θ 61.95, d = 1.498 Å, I = 14; 2θ 68.40, d = 1.372 Å, I = 17; 2θ 70.26, d = 1.340 Å, I = 13

Atomic structure:
Unit cell a=6.3922 b=6.3922 c=10.6880 alpha=90.00 beta=90.00 gamma=120.00
Space group P-6m2 (No. 187)
Unique sites:
Rb 0.0000 0.0000 0.0000 (multiplicity 1)
Mg 0.0077 0.5039 0.0000 (multiplicity 3)
Mg 0.1634 0.3268 0.2807 (multiplicity 6)
Mg 0.5053 0.0106 0.5000 (multiplicity 3)
Mg 0.6667 0.3333 0.2408 (multiplicity 2)
B 0.0000 0.0000 0.5000 (multiplicity 1)

Theoretical PXRD pattern
Compound: Mg2B4Ru5
Radiation: Cu Kα (λ = 1.5418 Å)
Structure: a cell relaxed with GGA-PBE

Main lines, sorted by position (2θ = 10–80°):
2θ 30.16, d = 2.963 Å, I = 100; 2θ 33.07, d = 2.709 Å, I = 57; 2θ 34.14, d = 2.626 Å, I = 72; 2θ 35.68, d = 2.516 Å, I = 41; 2θ 37.29, d = 2.411 Å, I = 35; 2θ 38.18, d = 2.357 Å, I = 34; 2θ 41.92, d = 2.155 Å, I = 30; 2θ 45.36, d = 1.999 Å, I = 80; 2θ 46.19, d = 1.965 Å, I = 94; 2θ 47.40, d = 1.918 Å, I = 48

Atomic structure:
Unit cell a=8.437 b=10.066 c=2.963 alpha=90.00 beta=90.00 gamma=90.00
Space group Pbam (No. 55)
Unique sites:
Mg 0.149 0.185 0.000 (multiplicity 4)
B 0.040 0.589 0.000 (multiplicity 4)
B 0.148 0.897 0.000 (multiplicity 4)
Ru 0.000 0.000 0.500 (multiplicity 2)
Ru 0.104 0.738 0.500 (multiplicity 4)
Ru 0.156 0.452 0.500 (multiplicity 4)

Theoretical PXRD pattern
Compound: Mg14SnB
Radiation: Cu Kα (λ = 1.5418 Å)
Structure: a cell relaxed with GGA-PBE

Main lines, sorted by position (2θ = 10–80°):
2θ 18.59, d = 4.773 Å, I = 38; 2θ 29.96, d = 2.982 Å, I = 14; 2θ 33.17, d = 2.701 Å, I = 26; 2θ 35.24, d = 2.547 Å, I = 26; 2θ 37.70, d = 2.386 Å, I = 100; 2θ 49.17, d = 1.853 Å, I = 16; 2θ 59.25, d = 1.559 Å, I = 17; 2θ 64.87, d = 1.437 Å, I = 20; 2θ 70.86, d = 1.330 Å, I = 19; 2θ 72.39, d = 1.305 Å, I = 15

Atomic structure:
Unit cell a=6.2379 b=6.2379 c=10.1862 alpha=90.00 beta=90.00 gamma=120.00
Space group P-6m2 (No. 187)
Unique sites:
Mg 0.0000 0.0000 0.2495 (multiplicity 2)
Mg 0.0057 0.5028 0.2634 (multiplicity 6)
Mg 0.3289 0.1645 0.5000 (multiplicity 3)
Mg 0.3357 0.1679 0.0000 (multiplicity 3)
Sn 0.3333 0.6667 0.0000 (multiplicity 1)
B 0.3333 0.6667 0.5000 (multiplicity 1)

Theoretical PXRD pattern
Compound: Mg14SnB
Radiation: Cu Kα (λ = 1.5418 Å)
Structure: a cell relaxed with GGA-PBE

Main lines, sorted by position (2θ = 10–80°):
2θ 15.76, d = 5.622 Å, I = 20; 2θ 18.13, d = 4.894 Å, I = 35; 2θ 23.89, d = 3.725 Å, I = 25; 2θ 31.83, d = 2.811 Å, I = 18; 2θ 33.27, d = 2.693 Å, I = 17; 2θ 36.13, d = 2.486 Å, I = 30; 2θ 36.72, d = 2.447 Å, I = 100; 2θ 38.00, d = 2.368 Å, I = 32; 2θ 65.36, d = 1.428 Å, I = 16; 2θ 70.77, d = 1.331 Å, I = 13

Atomic structure:
Unit cell a=9.945 b=6.591 c=10.771 alpha=90.00 beta=90.00 gamma=90.00
Space group Amm2 (No. 38)
Unique sites:
Mg 0.000 0.000 0.000 (multiplicity 2)
Mg 0.000 0.000 0.498 (multiplicity 2)
Mg 0.000 0.246 0.254 (multiplicity 4)
Mg 0.245 0.000 0.674 (multiplicity 4)
Mg 0.256 0.000 0.174 (multiplicity 4)
Mg 0.279 0.227 0.930 (multiplicity 8)
Mg 0.500 0.246 0.225 (multiplicity 4)
Sn 0.500 0.000 0.497 (multiplicity 2)
B 0.500 0.000 0.045 (multiplicity 2)

Question: Which formula does entry 2 have?
Answer: Mg2B4Ru5